[1]
Structure and theoretical powder XRD pattern of CaW2O4 (a cell relaxed with GGA+U; copper Kα).
Lines closer than 0.1° are merged.

Cell: 6.639 6.675 16.106 Å, 90.48 90.93 119.60°
Sites, in units of the cell vectors:
1 Ca 0.000 0.000 0.000
2 Ca 0.005 0.018 0.249
3 Ca 0.339 0.709 0.583
4 Ca 0.661 0.331 0.905
5 Ca 0.678 0.361 0.289
6 Ca 0.990 0.028 0.626
7 W 0.001 0.507 0.124
8 W 0.152 0.336 0.793
9 W 0.156 0.831 0.793
10 W 0.332 0.667 0.958
11 W 0.334 0.210 0.461
12 W 0.413 0.762 0.332
13 W 0.503 0.506 0.121
14 W 0.504 0.009 0.123
15 W 0.602 0.359 0.666
16 W 0.658 0.836 0.790
17 W 0.837 0.710 0.455
18 W 0.845 0.215 0.461
19 O 0.001 0.044 0.391
20 O 0.038 0.528 0.872
21 O 0.139 0.340 0.530
22 O 0.155 0.892 0.529
23 O 0.187 0.813 0.047
24 O 0.196 0.380 0.049
25 O 0.305 0.151 0.725
26 O 0.318 0.664 0.726
27 O 0.344 0.669 0.193
28 O 0.368 0.209 0.188
29 O 0.469 0.950 0.873
30 O 0.476 0.525 0.869
31 O 0.503 0.509 0.376
32 O 0.518 0.071 0.390
33 O 0.626 0.807 0.050
34 O 0.664 0.337 0.054
35 O 0.684 0.389 0.528
36 O 0.701 0.906 0.523
37 O 0.809 0.649 0.189
38 O 0.824 0.159 0.724
39 O 0.825 0.196 0.194
40 O 0.848 0.706 0.710
41 O 0.960 0.502 0.390
42 O 0.994 0.005 0.860

Main lines, most intense first (2θ = 5–70°):
two_theta	intensity	h k l
16.5	100.0	0 0 3
31.6	72.9	-2 2 1
31.6	65.6	2 0 1
31.2	64.0	0 2 -1
31.5	50.9	1 -2 3
16.4	49.5	1 -1 1
55.0	45.2	2 0 -8
31.8	44.4	-1 1 5
33.0	42.1	0 2 2
33.4	35.6	0 0 6

---

[2]
Structure and theoretical powder XRD pattern of MgMn6O8F4 (a cell relaxed with GGA+U; copper Kα).
Lines closer than 0.1° are merged.

Cell: 5.139 8.732 5.194 Å, 90.00 97.32 90.00°
Sites, in units of the cell vectors:
1 Mg 0.000 0.000 0.000
2 Mn 0.010 0.173 0.512
3 Mn 0.010 0.827 0.512
4 Mn 0.015 0.500 0.526
5 Mn 0.543 0.000 0.270
6 Mn 0.587 0.335 0.964
7 Mn 0.587 0.665 0.964
8 O 0.191 0.000 0.368
9 O 0.364 0.500 0.833
10 O 0.762 0.500 0.173
11 O 0.770 0.167 0.152
12 O 0.770 0.833 0.152
13 O 0.815 0.000 0.638
14 O 0.836 0.335 0.667
15 O 0.836 0.665 0.667
16 F 0.227 0.334 0.384
17 F 0.227 0.666 0.384
18 F 0.284 0.161 0.884
19 F 0.284 0.839 0.884

Main lines, most intense first (2θ = 5–70°):
two_theta	intensity	h k l
22.9	100.0	1 0 -1
35.5	79.1	1 3 0
26.1	75.8	1 0 1
38.7	50.2	1 3 -1
49.1	46.9	2 3 -1
25.1	33.1	1 1 -1
52.5	32.0	2 3 1
41.2	29.3	1 0 2
62.8	26.8	0 3 3
20.0	24.0	0 1 1

---

[3]
Structure and theoretical powder XRD pattern of MgMn6O8F4 (a cell relaxed with GGA+U; copper Kα).
Lines closer than 0.1° are merged.

Cell: 5.119 5.188 8.805 Å, 89.58 88.67 88.89°
Sites, in units of the cell vectors:
1 Mg 0.000 0.000 0.000
2 Mn 0.053 0.489 0.163
3 Mn 0.074 0.506 0.803
4 Mn 0.475 0.994 0.647
5 Mn 0.483 0.002 0.311
6 Mn 0.489 0.991 0.989
7 Mn 0.973 0.410 0.493
8 O 0.186 0.287 0.320
9 O 0.209 0.318 0.986
10 O 0.215 0.285 0.646
11 O 0.278 0.836 0.145
12 O 0.288 0.844 0.831
13 O 0.676 0.131 0.478
14 O 0.707 0.119 0.142
15 O 0.834 0.612 0.656
16 F 0.308 0.791 0.471
17 F 0.745 0.113 0.834
18 F 0.811 0.627 0.319
19 F 0.835 0.659 0.988

Main lines, most intense first (2θ = 5–70°):
two_theta	intensity	h k l
24.2	100.0	1 1 0
24.7	99.9	1 -1 0
49.6	41.0	2 1 3
50.3	30.3	2 -1 3
35.0	30.0	0 1 3
50.6	25.7	2 -2 0
34.6	23.3	0 2 0
34.9	19.1	1 0 3
51.2	18.9	-2 1 3
35.6	17.1	1 0 -3

---

[4]
Structure and theoretical powder XRD pattern of LaZnFeWO6 (a cell relaxed with GGA+U; copper Kα).
Lines closer than 0.1° are merged.

Cell: 5.561 5.963 7.821 Å, 90.05 90.29 90.01°
Sites, in units of the cell vectors:
1 La 0.000 0.000 0.000
2 La 0.500 0.379 0.500
3 Zn 0.004 0.053 0.505
4 Zn 0.505 0.327 0.005
5 Fe 0.481 0.914 0.255
6 Fe 0.981 0.465 0.755
7 W 0.478 0.915 0.748
8 W 0.979 0.463 0.248
9 O 0.075 0.431 0.500
10 O 0.151 0.728 0.208
11 O 0.176 0.757 0.804
12 O 0.275 0.258 0.191
13 O 0.308 0.222 0.802
14 O 0.349 0.974 0.504
15 O 0.575 0.947 0.000
16 O 0.651 0.650 0.709
17 O 0.674 0.620 0.304
18 O 0.775 0.119 0.690
19 O 0.808 0.157 0.301
20 O 0.849 0.404 0.004

Main lines, most intense first (2θ = 5–70°):
two_theta	intensity	h k l
31.8	100.0	1 1 2
31.7	96.7	-1 1 2
32.2	52.4	2 0 0
18.7	50.3	0 1 1
19.6	42.6	1 0 1
30.0	38.8	0 2 0
44.6	35.7	2 -2 0
34.1	28.6	1 2 0
46.4	27.8	0 0 4
57.0	24.9	3 1 -2

---

[5]
Structure and theoretical powder XRD pattern of Ca2HoMn3O9 (a cell relaxed with GGA+U; copper Kα).
Lines closer than 0.1° are merged.

Cell: 7.629 9.263 10.780 Å, 73.43 88.98 66.34°
Sites, in units of the cell vectors:
1 Ca 0.054 0.351 0.397
2 Ca 0.213 0.013 0.736
3 Ca 0.278 0.980 0.270
4 Ca 0.386 0.688 0.064
5 Ca 0.614 0.312 0.936
6 Ca 0.722 0.020 0.730
7 Ca 0.787 0.987 0.264
8 Ca 0.946 0.649 0.603
9 Ho 0.128 0.318 0.931
10 Ho 0.461 0.653 0.597
11 Ho 0.539 0.347 0.403
12 Ho 0.872 0.682 0.069
13 Mn 0.000 0.000 0.000
14 Mn 0.000 0.000 0.500
15 Mn 0.164 0.669 0.333
16 Mn 0.167 0.667 0.832
17 Mn 0.333 0.333 0.666
18 Mn 0.334 0.334 0.166
19 Mn 0.500 0.000 0.000
20 Mn 0.500 0.000 0.500
21 Mn 0.666 0.666 0.834
22 Mn 0.667 0.667 0.334
23 Mn 0.833 0.333 0.168
24 Mn 0.836 0.331 0.667
25 O 0.024 0.859 0.681
26 O 0.038 0.814 0.436
27 O 0.052 0.399 0.147
28 O 0.065 0.793 0.955
29 O 0.080 0.338 0.715
30 O 0.116 0.860 0.180
31 O 0.230 0.467 0.483
32 O 0.249 0.005 0.955
33 O 0.270 0.539 0.711
34 O 0.282 0.934 0.515
35 O 0.300 0.518 0.233
36 O 0.302 0.467 0.982
37 O 0.365 0.199 0.349
38 O 0.367 0.150 0.101
39 O 0.388 0.725 0.816
40 O 0.403 0.132 0.618
41 O 0.419 0.660 0.384
42 O 0.434 0.201 0.849
43 O 0.566 0.799 0.151
44 O 0.581 0.340 0.616
45 O 0.597 0.868 0.382
46 O 0.612 0.275 0.184
47 O 0.633 0.850 0.899
48 O 0.635 0.801 0.651
49 O 0.698 0.533 0.018
50 O 0.700 0.482 0.767
51 O 0.718 0.066 0.485
52 O 0.730 0.461 0.289
53 O 0.751 0.995 0.045
54 O 0.770 0.533 0.517
55 O 0.884 0.140 0.820
56 O 0.920 0.662 0.285
57 O 0.935 0.207 0.045
58 O 0.948 0.601 0.853
59 O 0.962 0.186 0.564
60 O 0.976 0.141 0.319

Main lines, most intense first (2θ = 5–70°):
two_theta	intensity	h k l
33.3	100.0	0 1 4
33.4	97.0	2 3 2
33.5	47.6	2 2 -2
59.9	42.9	2 6 2
32.7	42.7	2 0 2
48.1	34.4	0 4 4
16.6	31.7	1 1 -1
47.4	30.3	0 2 -4
16.2	28.9	1 0 1
59.7	25.2	2 5 -2

---

Copy entry 4 word for word.
Structure and theoretical powder XRD pattern of LaZnFeWO6 (a cell relaxed with GGA+U; copper Kα).
Lines closer than 0.1° are merged.

Cell: 5.561 5.963 7.821 Å, 90.05 90.29 90.01°
Sites, in units of the cell vectors:
1 La 0.000 0.000 0.000
2 La 0.500 0.379 0.500
3 Zn 0.004 0.053 0.505
4 Zn 0.505 0.327 0.005
5 Fe 0.481 0.914 0.255
6 Fe 0.981 0.465 0.755
7 W 0.478 0.915 0.748
8 W 0.979 0.463 0.248
9 O 0.075 0.431 0.500
10 O 0.151 0.728 0.208
11 O 0.176 0.757 0.804
12 O 0.275 0.258 0.191
13 O 0.308 0.222 0.802
14 O 0.349 0.974 0.504
15 O 0.575 0.947 0.000
16 O 0.651 0.650 0.709
17 O 0.674 0.620 0.304
18 O 0.775 0.119 0.690
19 O 0.808 0.157 0.301
20 O 0.849 0.404 0.004

Main lines, most intense first (2θ = 5–70°):
two_theta	intensity	h k l
31.8	100.0	1 1 2
31.7	96.7	-1 1 2
32.2	52.4	2 0 0
18.7	50.3	0 1 1
19.6	42.6	1 0 1
30.0	38.8	0 2 0
44.6	35.7	2 -2 0
34.1	28.6	1 2 0
46.4	27.8	0 0 4
57.0	24.9	3 1 -2